Computed powder diffraction line list of Ce2Ge6IrPd for Cu Kα X-rays, from the GGA-PBE geometry in Alexandria.
Peak positions follow from Bragg's law for the DFT cell and can differ from measured ones.

Most intense lines, 2θ = 10–90°, by intensity:
| 2θ (°) | intensity |
| --- | --- |
| 28.9 | 100 |
| 37.4 | 89 |
| 28.7 | 65 |
| 35.6 | 62 |
| 46.2 | 49 |
| 41.2 | 46 |
| 59.9 | 45 |
| 45.1 | 34 |
| 16.7 | 32 |
| 17.2 | 31 |

Structure:
Lattice parameters (Å, degrees): 13.2404 13.2404 13.2404 26.97 26.97 26.97
Positions (direct):
Ce 0.1028 0.1028 0.1028
Ce 0.2999 0.2999 0.2999
Ce 0.7001 0.7001 0.7001
Ce 0.8972 0.8972 0.8972
Ge 0.0651 0.6586 0.6586
Ge 0.2311 0.2311 0.6599
Ge 0.2311 0.6599 0.2311
Ge 0.3401 0.7689 0.7689
Ge 0.3414 0.3414 0.9349
Ge 0.3414 0.9349 0.3414
Ge 0.6586 0.0651 0.6586
Ge 0.6586 0.6586 0.0651
Ge 0.6599 0.2311 0.2311
Ge 0.7689 0.3401 0.7689
Ge 0.7689 0.7689 0.3401
Ge 0.9349 0.3414 0.3414
Ir 0.4280 0.4280 0.4280
Ir 0.5720 0.5720 0.5720
Pd 0.0000 0.0000 0.0000
Pd 0.5000 0.5000 0.5000